Structure and calculated X-ray powder pattern of LiV4O5F7 (a cell relaxed with PBE+U; CuKα).

Cell and atoms:
```
17
Lattice="5.2927 0.0000 0.0000 -1.9510 5.1196 0.0000 -1.0066 -2.6813 8.9319" Properties=species:S:1:pos:R:3 pbc="T T T"
Li 0.0000 0.0000 0.0000
V -1.3202 0.8191 4.9817
V -0.0360 3.2340 1.9956
V 2.4737 2.3471 0.5523
V 2.4623 3.4728 3.4401
O -0.6744 1.3497 6.3480
O 1.5814 2.0889 2.1562
O 2.7639 -0.6212 2.7136
O 3.6078 -0.8362 5.1913
O 3.4220 3.7546 1.6284
F -0.9276 2.5525 3.6868
F 0.0449 0.1925 3.7972
F 0.6304 -1.7861 8.6431
F 0.7254 3.3961 0.2230
F 2.0091 0.6593 8.0389
F 2.3433 1.7525 4.7353
F 4.1600 1.4282 0.8412
```

Peak list (6 most intense, 2θ = 10–80°, sorted by position)
17.96°, d 4.939, rel. 61.2
18.09°, d 4.903, rel. 84.4
18.96°, d 4.680, rel. 63.5
22.75°, d 3.908, rel. 100.0
35.08°, d 2.558, rel. 54.9
40.83°, d 2.210, rel. 64.2



Structure and calculated X-ray powder pattern of Co2Cu2F7 (a cell relaxed with PBE+U; CuKα).

Cell and atoms:
```
22
Lattice="0.0000 5.0159 5.0159 5.0159 0.0000 5.0159 5.0159 5.0159 0.0000" Properties=species:S:1:pos:R:3 pbc="T T T"
Co 0.0000 0.0000 0.0000
Co 2.5079 2.5079 0.0000
Co 2.5079 0.0000 2.5079
Co 0.0000 2.5079 2.5079
Cu 5.0159 2.5079 2.5079
Cu 2.5079 5.0159 2.5079
Cu 2.5079 2.5079 5.0159
Cu 5.0159 5.0159 5.0159
F 1.2540 1.2540 1.2540
F 3.7619 3.7619 1.3353
F 3.7619 1.3353 3.7619
F 6.1886 3.7619 3.7619
F 6.2698 6.2698 3.8432
F 6.2698 3.8432 6.2698
F 8.6965 6.2698 6.2698
F 1.3353 3.7619 3.7619
F 3.7619 6.1886 3.7619
F 3.7619 3.7619 6.1886
F 3.8432 6.2698 6.2698
F 6.2698 8.6965 6.2698
F 6.2698 6.2698 8.6965
F 8.7778 8.7778 8.7778
```

Peak list (6 most intense, 2θ = 10–80°, sorted by position)
30.88°, d 2.896, rel. 100.0
35.80°, d 2.508, rel. 11.4
51.53°, d 1.773, rel. 72.2
61.29°, d 1.512, rel. 37.6
64.34°, d 1.448, rel. 3.4
75.87°, d 1.254, rel. 9.4